# Li3LaGa8
Simulated PXRD pattern, copper Kα. Input: DFT lattice parameters and positions (PBE).
Intensities are scaled so that the largest is 100.

Structural model:
```
data_Li3LaGa8
_chemical_formula_sum 'Li3 La1 Ga8'
_space_group_name_H-M_alt 'P 1'
_space_group_IT_number 1
_cell_length_a 3.6266
_cell_length_b 4.4475
_cell_length_c 15.1358
_cell_angle_alpha 90.00
_cell_angle_beta 90.00
_cell_angle_gamma 90.00
loop_
_space_group_symop_operation_xyz
'x,y,z'
loop_
_atom_site_label
_atom_site_fract_x
_atom_site_fract_y
_atom_site_fract_z
Li1 0.0000 0.0000 0.0000
Li2 0.0000 0.5000 0.2568
Li3 0.0000 0.5000 0.7432
La1 0.0000 0.0000 0.5000
Ga1 0.5000 0.0000 0.1607
Ga2 0.5000 0.0000 0.3235
Ga3 0.5000 0.0000 0.6765
Ga4 0.5000 0.0000 0.8393
Ga5 0.5000 0.5000 0.0814
Ga6 0.5000 0.5000 0.4107
Ga7 0.5000 0.5000 0.5893
Ga8 0.5000 0.5000 0.9186
```

Peak list (10 most intense, 2θ from 10° to 90°, most intense first)
34.03 deg, I 100
41.14 deg, I 78
24.55 deg, I 56
34.25 deg, I 49
40.57 deg, I 42
66.94 deg, I 36
48.49 deg, I 32
54.11 deg, I 26
11.69 deg, I 22
50.32 deg, I 22

# HoFeSi
Simulated PXRD pattern, copper Kα. Input: DFT lattice parameters and positions (PBE).
Intensities are scaled so that the largest is 100.

Structural model:
```
data_HoFeSi
_chemical_formula_sum 'Ho2 Fe2 Si2'
_space_group_name_H-M_alt 'P 1'
_space_group_IT_number 1
_cell_length_a 4.0377
_cell_length_b 4.0377
_cell_length_c 6.3996
_cell_angle_alpha 90.00
_cell_angle_beta 90.00
_cell_angle_gamma 90.00
loop_
_space_group_symop_operation_xyz
'x,y,z'
loop_
_atom_site_label
_atom_site_fract_x
_atom_site_fract_y
_atom_site_fract_z
Ho1 0.2500 0.2500 0.1837
Ho2 0.7500 0.7500 0.8163
Fe1 0.2500 0.7500 0.5000
Fe2 0.7500 0.2500 0.5000
Si1 0.2500 0.2500 0.6821
Si2 0.7500 0.7500 0.3179
```

Peak list (10 most intense, 2θ from 10° to 90°, most intense first)
26.09 deg, I 100
42.42 deg, I 81
35.81 deg, I 60
44.90 deg, I 49
34.40 deg, I 43
31.33 deg, I 37
52.67 deg, I 30
58.71 deg, I 29
81.08 deg, I 28
62.44 deg, I 21

# Te
Simulated PXRD pattern, copper Kα. Input: DFT lattice parameters and positions (PBE).
Intensities are scaled so that the largest is 100.

Structural model:
```
data_Te
_chemical_formula_sum 'Te4'
_space_group_name_H-M_alt 'P 1'
_space_group_IT_number 1
_cell_length_a 3.1308
_cell_length_b 4.7429
_cell_length_c 8.9856
_cell_angle_alpha 90.00
_cell_angle_beta 90.00
_cell_angle_gamma 90.00
loop_
_space_group_symop_operation_xyz
'x,y,z'
loop_
_atom_site_label
_atom_site_fract_x
_atom_site_fract_y
_atom_site_fract_z
Te1 0.0000 0.0125 0.0000
Te2 0.0000 0.4547 0.7516
Te3 0.0000 0.5453 0.2516
Te4 0.0000 0.9875 0.5000
```

Peak list (10 most intense, 2θ from 10° to 90°, most intense first)
27.34 deg, I 100
39.91 deg, I 72
28.51 deg, I 47
49.97 deg, I 20
40.14 deg, I 19
48.14 deg, I 18
37.94 deg, I 18
66.22 deg, I 16
64.42 deg, I 15
72.79 deg, I 12

# HoTlRh2
Simulated PXRD pattern, copper Kα. Input: DFT lattice parameters and positions (PBE).
Intensities are scaled so that the largest is 100.

Structural model:
```
data_HoTlRh2
_chemical_formula_sum 'Ho1 Tl1 Rh2'
_space_group_name_H-M_alt 'P 1'
_space_group_IT_number 1
_cell_length_a 4.7314
_cell_length_b 4.7314
_cell_length_c 4.7314
_cell_angle_alpha 60.00
_cell_angle_beta 60.00
_cell_angle_gamma 60.00
loop_
_space_group_symop_operation_xyz
'x,y,z'
loop_
_atom_site_label
_atom_site_fract_x
_atom_site_fract_y
_atom_site_fract_z
Ho1 0.0000 0.0000 0.0000
Tl1 0.5000 0.5000 0.5000
Rh1 0.2500 0.2500 0.2500
Rh2 0.7500 0.7500 0.7500
```

Peak list (10 most intense, 2θ from 10° to 90°, most intense first)
38.04 deg, I 100
68.73 deg, I 35
54.88 deg, I 17
81.35 deg, I 11
26.64 deg, I 8
62.03 deg, I 4
47.05 deg, I 3
87.46 deg, I 2
23.02 deg, I 1
44.93 deg, I 1

# PtF4
Simulated PXRD pattern, copper Kα. Input: DFT lattice parameters and positions (PBE).
Intensities are scaled so that the largest is 100.

Structural model:
```
data_PtF4
_chemical_formula_sum 'Pt2 F8'
_space_group_name_H-M_alt 'P 1'
_space_group_IT_number 1
_cell_length_a 5.6905
_cell_length_b 5.6042
_cell_length_c 6.7757
_cell_angle_alpha 53.72
_cell_angle_beta 52.56
_cell_angle_gamma 73.72
loop_
_space_group_symop_operation_xyz
'x,y,z'
loop_
_atom_site_label
_atom_site_fract_x
_atom_site_fract_y
_atom_site_fract_z
Pt1 0.0000 0.0000 0.0000
Pt2 0.2500 0.2500 0.2500
F1 0.2349 0.2803 0.9477
F2 0.2382 0.8280 0.4439
F3 0.2803 0.2349 0.5371
F4 0.3023 0.7129 0.0151
F5 0.7129 0.3023 0.9697
F6 0.7602 0.8061 0.4220
F7 0.8061 0.7602 0.0118
F8 0.8280 0.2382 0.4898
```

Peak list (10 most intense, 2θ from 10° to 90°, most intense first)
19.80 deg, I 100
26.31 deg, I 51
32.92 deg, I 27
33.38 deg, I 25
35.50 deg, I 20
52.79 deg, I 19
52.32 deg, I 16
35.28 deg, I 16
42.81 deg, I 14
54.16 deg, I 10

# CoSnN2
Simulated PXRD pattern, copper Kα. Input: DFT lattice parameters and positions (PBE).
Intensities are scaled so that the largest is 100.

Structural model:
```
data_CoSnN2
_chemical_formula_sum 'Co4 Sn4 N8'
_space_group_name_H-M_alt 'P 1'
_space_group_IT_number 1
_cell_length_a 5.6743
_cell_length_b 6.7632
_cell_length_c 5.5189
_cell_angle_alpha 90.00
_cell_angle_beta 90.00
_cell_angle_gamma 90.00
loop_
_space_group_symop_operation_xyz
'x,y,z'
loop_
_atom_site_label
_atom_site_fract_x
_atom_site_fract_y
_atom_site_fract_z
Co1 0.0706 0.1274 0.0000
Co2 0.4294 0.6274 0.5000
Co3 0.5706 0.3726 0.0000
Co4 0.9294 0.8726 0.5000
Sn1 0.0873 0.6279 0.0062
Sn2 0.4127 0.1279 0.5062
Sn3 0.5873 0.8721 0.0062
Sn4 0.9127 0.3721 0.5062
N1 0.0623 0.0945 0.3409
N2 0.1082 0.6476 0.4125
N3 0.3918 0.1476 0.9125
N4 0.4377 0.5945 0.8409
N5 0.5623 0.4055 0.3409
N6 0.6082 0.8524 0.4125
N7 0.8918 0.3524 0.9125
N8 0.9377 0.9055 0.8409
```

Peak list (10 most intense, 2θ from 10° to 90°, most intense first)
34.90 deg, I 100
32.45 deg, I 49
35.58 deg, I 44
30.78 deg, I 35
59.47 deg, I 29
55.68 deg, I 24
65.94 deg, I 24
45.33 deg, I 19
31.53 deg, I 18
66.58 deg, I 15

# ZrSn
Simulated PXRD pattern, copper Kα. Input: DFT lattice parameters and positions (PBE).
Intensities are scaled so that the largest is 100.

Structural model:
```
data_ZrSn
_chemical_formula_sum 'Zr4 Sn4'
_space_group_name_H-M_alt 'P 1'
_space_group_IT_number 1
_cell_length_a 5.2943
_cell_length_b 6.5368
_cell_length_c 5.3952
_cell_angle_alpha 90.00
_cell_angle_beta 90.00
_cell_angle_gamma 90.00
loop_
_space_group_symop_operation_xyz
'x,y,z'
loop_
_atom_site_label
_atom_site_fract_x
_atom_site_fract_y
_atom_site_fract_z
Zr1 0.0000 0.0000 0.0000
Zr2 0.0000 0.2587 0.5048
Zr3 0.0000 0.7413 0.5048
Zr4 0.5000 0.0000 0.4082
Sn1 0.0000 0.5000 0.0043
Sn2 0.5000 0.2366 0.9014
Sn3 0.5000 0.5000 0.4083
Sn4 0.5000 0.7634 0.9014
```

Peak list (10 most intense, 2θ from 10° to 90°, most intense first)
36.34 deg, I 100
33.86 deg, I 34
33.21 deg, I 24
62.21 deg, I 21
37.41 deg, I 18
48.16 deg, I 17
69.41 deg, I 11
58.59 deg, I 9
67.34 deg, I 9
61.39 deg, I 9

# CuSnO6
Simulated PXRD pattern, copper Kα. Input: DFT lattice parameters and positions (PBE).
Intensities are scaled so that the largest is 100.

Structural model:
```
data_CuSnO6
_chemical_formula_sum 'Cu4 Sn4 O24'
_space_group_name_H-M_alt 'P 1'
_space_group_IT_number 1
_cell_length_a 7.9633
_cell_length_b 7.9633
_cell_length_c 6.4025
_cell_angle_alpha 90.00
_cell_angle_beta 90.00
_cell_angle_gamma 90.00
loop_
_space_group_symop_operation_xyz
'x,y,z'
loop_
_atom_site_label
_atom_site_fract_x
_atom_site_fract_y
_atom_site_fract_z
Cu1 0.0000 0.0000 0.0000
Cu2 0.0000 0.5000 0.5000
Cu3 0.5000 0.0000 0.5000
Cu4 0.5000 0.5000 0.0000
Sn1 0.0000 0.0000 0.5000
Sn2 0.0000 0.5000 0.0000
Sn3 0.5000 0.0000 0.0000
Sn4 0.5000 0.5000 0.5000
O1 0.0253 0.2454 0.1405
O2 0.0253 0.2546 0.3595
O3 0.0876 0.5876 0.2649
O4 0.0876 0.9124 0.2351
O5 0.2454 0.0253 0.8595
O6 0.2454 0.4747 0.6405
O7 0.2546 0.0253 0.6405
O8 0.2546 0.4747 0.8595
O9 0.4124 0.5876 0.2351
O10 0.4124 0.9124 0.2649
O11 0.4747 0.2454 0.3595
O12 0.4747 0.2546 0.1405
O13 0.5253 0.7454 0.8595
O14 0.5253 0.7546 0.6405
O15 0.5876 0.0876 0.7351
O16 0.5876 0.4124 0.7649
O17 0.7454 0.5253 0.1405
O18 0.7454 0.9747 0.3595
O19 0.7546 0.5253 0.3595
O20 0.7546 0.9747 0.1405
O21 0.9124 0.0876 0.7649
O22 0.9124 0.4124 0.7351
O23 0.9747 0.7454 0.6405
O24 0.9747 0.7546 0.8595
```

Peak list (10 most intense, 2θ from 10° to 90°, most intense first)
22.33 deg, I 100
36.00 deg, I 44
42.77 deg, I 33
59.39 deg, I 25
45.57 deg, I 19
51.31 deg, I 18
31.78 deg, I 17
54.26 deg, I 17
27.87 deg, I 14
67.29 deg, I 13

# PaO3
Simulated PXRD pattern, copper Kα. Input: DFT lattice parameters and positions (PBE).
Intensities are scaled so that the largest is 100.

Structural model:
```
data_PaO3
_chemical_formula_sum 'Pa1 O3'
_space_group_name_H-M_alt 'P 1'
_space_group_IT_number 1
_cell_length_a 4.0411
_cell_length_b 4.0411
_cell_length_c 4.0411
_cell_angle_alpha 125.85
_cell_angle_beta 125.85
_cell_angle_gamma 80.14
loop_
_space_group_symop_operation_xyz
'x,y,z'
loop_
_atom_site_label
_atom_site_fract_x
_atom_site_fract_y
_atom_site_fract_z
Pa1 0.0000 0.0000 0.0000
O1 0.2500 0.7500 0.5000
O2 0.5000 0.5000 0.0000
O3 0.7500 0.2500 0.5000
```

Peak list (10 most intense, 2θ from 10° to 90°, most intense first)
28.23 deg, I 100
45.57 deg, I 48
34.48 deg, I 30
58.01 deg, I 29
28.87 deg, I 24
50.76 deg, I 21
49.56 deg, I 18
73.67 deg, I 15
58.37 deg, I 14
81.28 deg, I 8

# CaMg14Sn
Simulated PXRD pattern, copper Kα. Input: DFT lattice parameters and positions (PBE).
Intensities are scaled so that the largest is 100.

Structural model:
```
data_CaMg14Sn
_chemical_formula_sum 'Ca1 Mg14 Sn1'
_space_group_name_H-M_alt 'P 1'
_space_group_IT_number 1
_cell_length_a 6.4580
_cell_length_b 6.4580
_cell_length_c 10.6159
_cell_angle_alpha 90.00
_cell_angle_beta 90.00
_cell_angle_gamma 120.00
loop_
_space_group_symop_operation_xyz
'x,y,z'
loop_
_atom_site_label
_atom_site_fract_x
_atom_site_fract_y
_atom_site_fract_z
Ca1 0.0000 0.0000 0.0000
Mg1 0.0047 0.5024 0.0000
Mg2 0.1683 0.3367 0.2529
Mg3 0.1683 0.3367 0.7471
Mg4 0.1683 0.8317 0.2529
Mg5 0.1683 0.8317 0.7471
Mg6 0.4976 0.5024 0.0000
Mg7 0.4976 0.9953 0.0000
Mg8 0.5015 0.0031 0.5000
Mg9 0.5015 0.4985 0.5000
Mg10 0.6633 0.8317 0.2529
Mg11 0.6633 0.8317 0.7471
Mg12 0.6667 0.3333 0.2449
Mg13 0.6667 0.3333 0.7551
Mg14 0.9969 0.4985 0.5000
Sn1 0.0000 0.0000 0.5000
```

Peak list (10 most intense, 2θ from 10° to 90°, most intense first)
36.31 deg, I 100
33.77 deg, I 27
32.01 deg, I 26
15.85 deg, I 22
62.08 deg, I 20
23.10 deg, I 20
67.96 deg, I 20
47.22 deg, I 17
57.04 deg, I 17
17.93 deg, I 16

# NdMg16Al12
Simulated PXRD pattern, copper Kα. Input: DFT lattice parameters and positions (PBE).
Intensities are scaled so that the largest is 100.

Structural model:
```
data_NdMg16Al12
_chemical_formula_sum 'Nd1 Mg16 Al12'
_space_group_name_H-M_alt 'P 1'
_space_group_IT_number 1
_cell_length_a 9.2591
_cell_length_b 9.2591
_cell_length_c 9.2591
_cell_angle_alpha 110.15
_cell_angle_beta 110.15
_cell_angle_gamma 110.15
loop_
_space_group_symop_operation_xyz
'x,y,z'
loop_
_atom_site_label
_atom_site_fract_x
_atom_site_fract_y
_atom_site_fract_z
Nd1 0.0000 0.0000 0.0000
Mg1 0.0561 0.0561 0.6543
Mg2 0.0561 0.6543 0.0561
Mg3 0.0905 0.7586 0.7586
Mg4 0.3700 0.6830 0.9769
Mg5 0.3700 0.9769 0.6830
Mg6 0.3752 0.3752 0.3752
Mg7 0.3754 0.3754 0.7179
Mg8 0.3754 0.7179 0.3754
Mg9 0.6543 0.0561 0.0561
Mg10 0.6830 0.3700 0.9769
Mg11 0.6830 0.9769 0.3700
Mg12 0.7179 0.3754 0.3754
Mg13 0.7586 0.0905 0.7586
Mg14 0.7586 0.7586 0.0905
Mg15 0.9769 0.3700 0.6830
Mg16 0.9769 0.6830 0.3700
Al1 0.0069 0.1865 0.3729
Al2 0.0069 0.3729 0.1865
Al3 0.1865 0.0069 0.3729
Al4 0.1865 0.3729 0.0069
Al5 0.1966 0.5606 0.5606
Al6 0.3729 0.0069 0.1865
Al7 0.3729 0.1865 0.0069
Al8 0.5579 0.7414 0.7414
Al9 0.5606 0.1966 0.5606
Al10 0.5606 0.5606 0.1966
Al11 0.7414 0.5579 0.7414
Al12 0.7414 0.7414 0.5579
```

Peak list (10 most intense, 2θ from 10° to 90°, most intense first)
36.45 deg, I 100
35.91 deg, I 96
11.66 deg, I 59
35.47 deg, I 55
39.46 deg, I 49
11.97 deg, I 36
35.58 deg, I 31
20.44 deg, I 27
64.33 deg, I 27
16.74 deg, I 24

# NaZr2CuF11
Simulated PXRD pattern, copper Kα. Input: DFT lattice parameters and positions (PBE).
Intensities are scaled so that the largest is 100.

Structural model:
```
data_NaZr2CuF11
_chemical_formula_sum 'Na1 Zr2 Cu1 F11'
_space_group_name_H-M_alt 'P 1'
_space_group_IT_number 1
_cell_length_a 5.5693
_cell_length_b 5.8899
_cell_length_c 7.7680
_cell_angle_alpha 110.49
_cell_angle_beta 96.15
_cell_angle_gamma 105.98
loop_
_space_group_symop_operation_xyz
'x,y,z'
loop_
_atom_site_label
_atom_site_fract_x
_atom_site_fract_y
_atom_site_fract_z
Na1 0.0000 0.0000 0.0000
Zr1 0.4842 0.2680 0.7630
Zr2 0.5158 0.7320 0.2370
Cu1 0.0000 0.5000 0.5000
F1 0.1906 0.9448 0.7178
F2 0.2220 0.3999 0.6503
F3 0.2408 0.5163 0.3415
F4 0.2486 0.8221 0.1136
F5 0.3469 0.3392 0.0239
F6 0.5000 0.0000 0.5000
F7 0.6531 0.6608 0.9761
F8 0.7514 0.1779 0.8864
F9 0.7592 0.4837 0.6585
F10 0.7780 0.6001 0.3497
F11 0.8094 0.0552 0.2822
```

Peak list (10 most intense, 2θ from 10° to 90°, most intense first)
21.69 deg, I 100
24.95 deg, I 65
25.93 deg, I 47
27.03 deg, I 40
17.02 deg, I 31
44.21 deg, I 27
16.67 deg, I 22
43.84 deg, I 21
45.93 deg, I 18
47.67 deg, I 17

# DyErC4
Simulated PXRD pattern, copper Kα. Input: DFT lattice parameters and positions (PBE).
Intensities are scaled so that the largest is 100.

Structural model:
```
data_DyErC4
_chemical_formula_sum 'Dy1 Er1 C4'
_space_group_name_H-M_alt 'P 1'
_space_group_IT_number 1
_cell_length_a 3.6379
_cell_length_b 3.6379
_cell_length_c 6.1857
_cell_angle_alpha 90.00
_cell_angle_beta 90.00
_cell_angle_gamma 90.00
loop_
_space_group_symop_operation_xyz
'x,y,z'
loop_
_atom_site_label
_atom_site_fract_x
_atom_site_fract_y
_atom_site_fract_z
Dy1 0.0000 0.0000 0.0000
Er1 0.5000 0.5000 0.5000
C1 0.0000 0.0000 0.3947
C2 0.0000 0.0000 0.6053
C3 0.5000 0.5000 0.1057
C4 0.5000 0.5000 0.8943
```

Peak list (10 most intense, 2θ from 10° to 90°, most intense first)
28.46 deg, I 100
34.88 deg, I 48
45.88 deg, I 37
28.87 deg, I 33
58.68 deg, I 29
50.91 deg, I 28
74.26 deg, I 18
58.90 deg, I 17
50.15 deg, I 16
71.14 deg, I 8